1.
Diffraction record for CaPm2ReN4. The powder diffractogram is simulated, not measured: it uses the GGA-PBE geometry in Alexandria and Cu Kα, 1.54184 Å.
Neutral-atom scattering factors, no anomalous dispersion.

Crystal structure
```
data_CaPm2ReN4
_space_group_name_H-M_alt 'C m c m'
_space_group_IT_number 63
_space_group_name_Hall '-C 2c 2'
_cell_length_a 3.526
_cell_length_b 12.212
_cell_length_c 11.979
_cell_angle_alpha 90.00
_cell_angle_beta 90.00
_cell_angle_gamma 90.00
loop_
_atom_site_label
_atom_site_type_symbol
_atom_site_fract_x
_atom_site_fract_y
_atom_site_fract_z
Ca1 Ca 0.000 0.124 0.250
Pm1 Pm 0.000 0.369 0.034
Re1 Re 0.000 0.151 0.750
N1 N 0.000 0.000 0.000
N2 N 0.000 0.260 0.632
N3 N 0.000 0.421 0.250
```

Peak list (8 most intense, 2θ = 15–90°, sorted by position)
hkl 0 2 1, 16.3 deg, 5.440 Å, rel. 83
hkl 0 4 0, 29.3 deg, 3.053 Å, rel. 50
hkl 0 0 4, 29.8 deg, 2.995 Å, rel. 42
hkl 1 1 2, 30.3 deg, 2.949 Å, rel. 79
hkl 1 1 3, 34.7 deg, 2.583 Å, rel. 33
hkl 1 3 2, 36.9 deg, 2.435 Å, rel. 100
hkl 0 2 5, 40.4 deg, 2.230 Å, rel. 35
hkl 2 4 0, 60.6 deg, 1.527 Å, rel. 33

2.
Diffraction record for RbSrTmBr6. The powder diffractogram is simulated, not measured: it uses the GGA-PBE geometry in Alexandria and Cu Kα, 1.54184 Å.
Neutral-atom scattering factors, no anomalous dispersion.

Crystal structure
```
data_RbSrTmBr6
_space_group_name_H-M_alt 'P -3 1 c'
_space_group_IT_number 163
_space_group_name_Hall '-P 3 2c'
_cell_length_a 7.6899
_cell_length_b 7.6899
_cell_length_c 14.7031
_cell_angle_alpha 90.00
_cell_angle_beta 90.00
_cell_angle_gamma 120.00
loop_
_atom_site_label
_atom_site_type_symbol
_atom_site_fract_x
_atom_site_fract_y
_atom_site_fract_z
Rb1 Rb 0.0000 0.0000 0.0000
Sr1 Sr 0.3333 0.6667 0.2500
Tm1 Tm 0.3333 0.6667 0.7500
Br1 Br 0.0281 0.3847 0.6397
```

Peak list (8 most intense, 2θ = 15–90°, sorted by position)
hkl 1 0 2, 18.0 deg, 4.936 Å, rel. 75
hkl 1 1 2, 26.2 deg, 3.407 Å, rel. 100
hkl 1 1 4, 33.7 deg, 2.657 Å, rel. 100
hkl 2 1 2, 37.8 deg, 2.381 Å, rel. 30
hkl 3 0 0, 40.6 deg, 2.220 Å, rel. 48
hkl 2 -1 6, 43.8 deg, 2.066 Å, rel. 29
hkl 4 -2 4, 53.8 deg, 1.704 Å, rel. 21
hkl 3 0 8, 66.0 deg, 1.416 Å, rel. 17

3.
Diffraction record for Ta4RhW. The powder diffractogram is simulated, not measured: it uses the GGA-PBE geometry in Alexandria and Cu Kα, 1.54184 Å.
Neutral-atom scattering factors, no anomalous dispersion.

Crystal structure
```
data_Ta4RhW
_space_group_name_H-M_alt 'P 4/m m m'
_space_group_IT_number 123
_space_group_name_Hall '-P 4 2'
_cell_length_a 3.249
_cell_length_b 3.249
_cell_length_c 9.763
_cell_angle_alpha 90.00
_cell_angle_beta 90.00
_cell_angle_gamma 90.00
loop_
_atom_site_label
_atom_site_type_symbol
_atom_site_fract_x
_atom_site_fract_y
_atom_site_fract_z
Ta1 Ta 0.000 0.000 0.163
Ta2 Ta 0.500 0.500 0.335
Rh1 Rh 0.500 0.500 0.000
W1 W 0.000 0.000 0.500
```

Peak list (7 most intense, 2θ = 15–90°, sorted by position)
hkl 1 0 0, 27.4 deg, 3.251 Å, rel. 1
hkl 1 0 1, 29.0 deg, 3.083 Å, rel. 1
hkl 1 0 2, 33.1 deg, 2.705 Å, rel. 1
hkl 1 1 0, 39.2 deg, 2.299 Å, rel. 100
hkl 2 0 0, 56.6 deg, 1.625 Å, rel. 17
hkl 2 1 3, 71.0 deg, 1.327 Å, rel. 35
hkl 2 2 0, 84.2 deg, 1.149 Å, rel. 11